Entry 1:
Structure and calculated powder diffraction line list of Al4SiC4 (the PBE geometry in Alexandria; a wavelength of 1.5418 Å).
Intensities are scaled so that the largest is 100.

Cell and atoms:
a = 3.2924 Å, b = 3.2924 Å, c = 21.8395 Å
α = 90.00°, β = 90.00°, γ = 120.00°
Space group P6_3mc (No. 186)
One atom of each set of equivalent atoms:
Al (0.0000, 0.0000, 0.0000)
Al (0.3333, 0.6667, 0.1042)
Al (0.3333, 0.6667, 0.6963)
Al (0.3333, 0.6667, 0.9147)
Si (0.0000, 0.0000, 0.3137)
C (0.0000, 0.0000, 0.1509)
C (0.0000, 0.0000, 0.3995)
C (0.3333, 0.6667, 0.0162)
C (0.3333, 0.6667, 0.7865)

Largest 10 diffraction maxima, low angle first, 5 to 70 degrees two-theta:
hkl 1 0 1, 2θ 31.65, I = 95.3
hkl 1 0 2, 2θ 32.45, I = 30.3
hkl 1 0 3, 2θ 33.76, I = 18.1
hkl 1 0 4, 2θ 35.52, I = 27.8
hkl 1 0 5, 2θ 37.68, I = 61.2
hkl 1 0 6, 2θ 40.18, I = 79.2
hkl 0 0 10, 2θ 41.34, I = 50.3
hkl 1 0 9, 2θ 49.31, I = 34.0
hkl 1 1 0, 2θ 55.85, I = 100.0
hkl 1 0 12, 2θ 60.33, I = 33.4

=====

Entry 2:
Structure and calculated powder diffraction line list of PmNiGePt (the PBE geometry in Alexandria; a wavelength of 1.5418 Å).
Intensities are scaled so that the largest is 100.

Cell and atoms:
a = 4.1206 Å, b = 4.2076 Å, c = 9.4960 Å
α = 90.00°, β = 90.00°, γ = 90.00°
Space group Imm2 (No. 44)
One atom of each set of equivalent atoms:
Pm (0.0000, 0.0000, 0.0000)
Ni (0.0000, 0.0000, 0.6365)
Ge (0.0000, 0.5000, 0.2435)
Pt (0.0000, 0.0000, 0.3739)

Largest 10 diffraction maxima, low angle first, 5 to 70 degrees two-theta:
hkl 0 0 2, 2θ 18.69, I = 26.4
hkl 1 0 1, 2θ 23.54, I = 47.1
hkl 1 1 0, 2θ 30.36, I = 100.0
hkl 0 1 3, 2θ 35.49, I = 93.2
hkl 1 0 3, 2θ 35.77, I = 66.1
hkl 1 1 2, 2θ 35.89, I = 73.6
hkl 0 2 0, 2θ 42.99, I = 41.3
hkl 2 0 0, 2θ 43.95, I = 38.8
hkl 1 2 3, 2θ 57.13, I = 34.2
hkl 2 1 3, 2θ 57.71, I = 45.9

=====

Entry 3:
Structure and calculated powder diffraction line list of Pm3Mg5Cu2 (the PBE geometry in Alexandria; a wavelength of 1.5418 Å).
Intensities are scaled so that the largest is 100.

Cell and atoms:
a = 10.4309 Å, b = 10.4309 Å, c = 4.3687 Å
α = 90.00°, β = 90.00°, γ = 90.00°
Space group P4/mbm (No. 127)
One atom of each set of equivalent atoms:
Pm (0.0000, 0.0000, 0.0000)
Pm (0.1779, 0.3221, 0.0000)
Mg (0.0000, 0.5000, 0.5000)
Mg (0.0657, 0.7781, 0.5000)
Cu (0.1149, 0.6149, 0.0000)

Largest 10 diffraction maxima, low angle first, 5 to 70 degrees two-theta:
hkl 0 0 1, 2θ 20.33, I = 64.1
hkl 2 2 0, 2θ 24.13, I = 20.6
hkl 3 1 0, 2θ 27.03, I = 51.6
hkl 2 1 1, 2θ 27.98, I = 25.3
hkl 2 2 1, 2θ 31.75, I = 38.2
hkl 3 1 1, 2θ 34.06, I = 100.0
hkl 4 1 0, 2θ 35.48, I = 37.0
hkl 3 2 1, 2θ 37.28, I = 24.6
hkl 0 0 2, 2θ 41.29, I = 44.9
hkl 4 1 2, 2θ 55.55, I = 35.8

=====

Entry 4:
Structure and calculated powder diffraction line list of Zr2BiP2 (the PBE geometry in Alexandria; a wavelength of 1.5418 Å).
Intensities are scaled so that the largest is 100.

Cell and atoms:
a = 4.9602 Å, b = 4.9602 Å, c = 8.4644 Å
α = 90.00°, β = 90.00°, γ = 90.00°
Space group I4/mmm (No. 139)
One atom of each set of equivalent atoms:
Zr (0.0000, 0.5000, 0.2500)
Bi (0.0000, 0.0000, 0.0000)
P (0.0000, 0.0000, 0.3674)

Largest 10 diffraction maxima, low angle first, 5 to 70 degrees two-theta:
hkl 1 0 1, 2θ 20.76, I = 54.3
hkl 1 1 2, 2θ 33.17, I = 100.0
hkl 2 0 0, 2θ 36.22, I = 54.2
hkl 1 0 3, 2θ 36.64, I = 33.4
hkl 2 1 1, 2θ 42.11, I = 19.6
hkl 0 0 4, 2θ 42.73, I = 9.3
hkl 2 2 0, 2θ 52.16, I = 18.9
hkl 2 1 3, 2θ 52.47, I = 23.9
hkl 2 0 4, 2θ 57.23, I = 15.9
hkl 3 1 2, 2θ 63.22, I = 31.2